Entry 1:
Diffraction record for Rb2BePbBr6. The powder XRD pattern is simulated, not measured: it uses a cell relaxed with GGA-PBE and CuKα.
Lines closer than 0.1° are merged.

Crystal structure
Unit cell a=7.901 b=7.905 c=9.198 alpha=115.40 beta=90.03 gamma=119.98
Space group P1 (No. 1)
Inequivalent atoms, fractional coordinates:
Rb  0.000  0.000  0.000
Rb  0.493  0.986  0.480
Be  0.225  0.448  0.673
Pb  0.784  0.568  0.352
Br  0.055  0.718  0.174
Br  0.163  0.675  0.669
Br  0.456  0.512  0.174
Br  0.513  0.506  0.669
Br  0.662  0.118  0.174
Br  0.993  0.155  0.668

Principal peaks in the range 5° ≤ 2θ ≤ 70°, low angle first:
11.1°, 7.991 Å, intensity 32; 13.5°, 6.582 Å, intensity 31; 14.9°, 5.944 Å, intensity 37; 19.7°, 4.509 Å, intensity 71; 25.1°, 3.542 Å, intensity 100; 30.1°, 2.972 Å, intensity 59; 31.9°, 2.810 Å, intensity 71; 34.9°, 2.572 Å, intensity 34; 39.5°, 2.281 Å, intensity 41; 40.9°, 2.209 Å, intensity 31

Entry 2:
Diffraction record for RbBePdBr. The powder XRD pattern is simulated, not measured: it uses a cell relaxed with GGA-PBE and CuKα.
Lines closer than 0.1° are merged.

Crystal structure
Unit cell a=13.280 b=3.529 c=5.220 alpha=90.00 beta=90.15 gamma=90.00
Space group Cm (No. 8)
Inequivalent atoms, fractional coordinates:
Rb  0.000  0.000  0.000
Be  0.283  0.500  0.499
Pd  0.383  0.000  0.499
Br  0.121  0.500  0.501

Principal peaks in the range 5° ≤ 2θ ≤ 70°, low angle first:
13.3°, 6.640 Å, intensity 37; 17.0°, 5.219 Å, intensity 28; 21.7°, 4.103 Å, intensity 18; 31.3°, 2.855 Å, intensity 100; 31.9°, 2.801 Å, intensity 69; 32.4°, 2.760 Å, intensity 37; 34.4°, 2.610 Å, intensity 31; 42.6°, 2.122 Å, intensity 26; 48.0°, 1.896 Å, intensity 24; 62.2°, 1.493 Å, intensity 19

Entry 3:
Diffraction record for RbBePdBr. The powder XRD pattern is simulated, not measured: it uses a cell relaxed with GGA-PBE and CuKα.
Lines closer than 0.1° are merged.

Crystal structure
Unit cell a=3.629 b=5.704 c=5.751 alpha=105.30 beta=90.24 gamma=90.06
Space group P1 (No. 1)
Inequivalent atoms, fractional coordinates:
Rb  0.000  0.000  0.000
Be  0.501  0.558  0.209
Pd  0.003  0.564  0.426
Br  0.499  0.449  0.810

Principal peaks in the range 5° ≤ 2θ ≤ 70°, low angle first:
16.1°, 5.502 Å, intensity 41; 19.5°, 4.553 Å, intensity 27; 25.6°, 3.475 Å, intensity 54; 29.5°, 3.030 Å, intensity 32; 31.5°, 2.838 Å, intensity 100; 32.1°, 2.790 Å, intensity 30; 32.3°, 2.773 Å, intensity 35; 32.5°, 2.751 Å, intensity 39; 40.9°, 2.207 Å, intensity 26; 41.0°, 2.200 Å, intensity 26